For TlSbTe2, a structure optimized by DFT (GGA-PBE) gives the calculated X-ray diffraction stick pattern in this record (a wavelength of 1.5418 Å).
Neutral-atom scattering factors, no anomalous dispersion.

The 10 most intense peaks (2θ = 5–70°), by angle:
| 2θ (°) | d/Å | I_rel |
| --- | --- | --- |
| 18.0 | 4.935 | 324 |
| 20.0 | 4.433 | 243 |
| 20.4 | 4.346 | 286 |
| 28.2 | 3.161 | 351 |
| 30.4 | 2.944 | 349 |
| 31.7 | 2.823 | 425 |
| 34.8 | 2.580 | 1000 |
| 35.5 | 2.525 | 626 |
| 46.9 | 1.939 | 211 |
| 65.9 | 1.417 | 197 |

Structural model:
Unit cell a=5.7070 b=5.7070 c=6.8993 alpha=117.71 beta=117.71 gamma=53.68
Element x y z (fractional)
Tl  0.0000  0.0000  0.0000
Sb  0.0000  0.0000  0.5000
Te  0.3557  0.3557  0.5744
Te  0.6443  0.6443  0.4256

For TlSbTe2, a structure optimized by DFT (GGA-PBE) gives the calculated X-ray diffraction stick pattern in this record (a wavelength of 1.5418 Å).
Neutral-atom scattering factors, no anomalous dispersion.

The 10 most intense peaks (2θ = 5–70°), by angle:
| 2θ (°) | d/Å | I_rel |
| --- | --- | --- |
| 27.4 | 3.257 | 1000 |
| 29.7 | 3.011 | 66 |
| 38.2 | 2.359 | 377 |
| 40.1 | 2.251 | 374 |
| 46.0 | 1.975 | 63 |
| 49.2 | 1.852 | 200 |
| 53.6 | 1.711 | 49 |
| 56.5 | 1.628 | 120 |
| 62.6 | 1.484 | 150 |
| 65.2 | 1.430 | 171 |

Structural model:
Unit cell a=8.3155 b=8.3155 c=8.3155 alpha=31.41 beta=31.41 gamma=31.41
Element x y z (fractional)
Tl  0.0000  0.0000  0.0000
Sb  0.5000  0.5000  0.5000
Te  0.2393  0.2393  0.2393
Te  0.7607  0.7607  0.7607

For Tm2SbTe, a structure optimized by DFT (GGA-PBE) gives the calculated X-ray diffraction stick pattern in this record (a wavelength of 1.5418 Å).
Neutral-atom scattering factors, no anomalous dispersion.

The 10 most intense peaks (2θ = 5–70°), by angle:
| 2θ (°) | d/Å | I_rel |
| --- | --- | --- |
| 25.2 | 3.537 | 34 |
| 29.2 | 3.060 | 1000 |
| 41.7 | 2.167 | 384 |
| 41.8 | 2.161 | 373 |
| 49.3 | 1.847 | 18 |
| 51.7 | 1.769 | 204 |
| 51.9 | 1.761 | 64 |
| 60.5 | 1.530 | 125 |
| 68.5 | 1.370 | 175 |
| 68.7 | 1.367 | 166 |

Structural model:
Unit cell a=7.4764 b=7.4764 c=7.4764 alpha=33.70 beta=33.70 gamma=33.70
Element x y z (fractional)
Tm  0.2463  0.2463  0.2463
Tm  0.7537  0.7537  0.7537
Sb  0.5000  0.5000  0.5000
Te  0.0000  0.0000  0.0000

For USbTe, a structure optimized by DFT (GGA-PBE) gives the calculated X-ray diffraction stick pattern in this record (a wavelength of 1.5418 Å).
Neutral-atom scattering factors, no anomalous dispersion.

The 10 most intense peaks (2θ = 5–70°), by angle:
| 2θ (°) | d/Å | I_rel |
| --- | --- | --- |
| 22.8 | 3.899 | 425 |
| 29.3 | 3.051 | 353 |
| 29.5 | 3.033 | 314 |
| 30.9 | 2.893 | 649 |
| 35.4 | 2.534 | 1000 |
| 36.2 | 2.481 | 625 |
| 41.9 | 2.158 | 572 |
| 52.0 | 1.758 | 257 |
| 56.5 | 1.628 | 354 |
| 60.7 | 1.526 | 193 |

Structural model:
Unit cell a=4.3152 b=4.3152 c=9.0977 alpha=90.00 beta=90.00 gamma=90.00
Element x y z (fractional)
U  0.2500  0.2500  0.2286
U  0.7500  0.7500  0.7714
Sb  0.2500  0.7500  0.5000
Sb  0.7500  0.2500  0.5000
Te  0.2500  0.2500  0.8684
Te  0.7500  0.7500  0.1316

For U2SbTe, a structure optimized by DFT (GGA-PBE) gives the calculated X-ray diffraction stick pattern in this record (a wavelength of 1.5418 Å).
Neutral-atom scattering factors, no anomalous dispersion.

The 10 most intense peaks (2θ = 5–70°), by angle:
| 2θ (°) | d/Å | I_rel |
| --- | --- | --- |
| 24.4 | 3.648 | 129 |
| 28.9 | 3.087 | 1000 |
| 39.9 | 2.261 | 428 |
| 42.8 | 2.112 | 350 |
| 48.6 | 1.873 | 46 |
| 50.0 | 1.824 | 224 |
| 54.9 | 1.672 | 57 |
| 59.9 | 1.543 | 132 |
| 65.8 | 1.420 | 201 |
| 70.0 | 1.345 | 177 |

Structural model:
Unit cell a=7.1803 b=7.1803 c=7.1803 alpha=36.71 beta=36.71 gamma=36.71
Element x y z (fractional)
U  0.2504  0.2504  0.2504
U  0.7496  0.7496  0.7496
Sb  0.0000  0.0000  0.0000
Te  0.5000  0.5000  0.5000

For Th3Sb4, a structure optimized by DFT (GGA-PBE) gives the calculated X-ray diffraction stick pattern in this record (a wavelength of 1.5418 Å).
Neutral-atom scattering factors, no anomalous dispersion.

The 10 most intense peaks (2θ = 5–70°), by angle:
| 2θ (°) | d/Å | I_rel |
| --- | --- | --- |
| 23.0 | 3.859 | 289 |
| 29.9 | 2.989 | 1000 |
| 35.5 | 2.526 | 747 |
| 42.8 | 2.114 | 267 |
| 45.0 | 2.015 | 177 |
| 47.1 | 1.929 | 124 |
| 49.1 | 1.854 | 169 |
| 60.4 | 1.533 | 341 |
| 62.1 | 1.495 | 102 |
| 63.8 | 1.459 | 169 |

Structural model:
Unit cell a=8.1858 b=8.1858 c=8.1858 alpha=109.47 beta=109.47 gamma=109.47
Element x y z (fractional)
Th  0.1250  0.7500  0.8750
Th  0.2500  0.6250  0.3750
Th  0.3750  0.2500  0.6250
Th  0.6250  0.3750  0.2500
Th  0.7500  0.8750  0.1250
Th  0.8750  0.1250  0.7500
Sb  0.0000  0.3402  0.5000
Sb  0.0000  0.8402  0.5000
Sb  0.1598  0.1598  0.1598
Sb  0.3402  0.5000  0.0000
Sb  0.5000  0.0000  0.3402
Sb  0.5000  0.0000  0.8402
Sb  0.6598  0.6598  0.6598
Sb  0.8402  0.5000  0.0000